Simulated powder diffraction line list
Compound: PmNdMg4
Radiation: CuKα
Structure: a DFT-relaxed cell (PBE, Alexandria)
Lines closer than 0.1° are merged.

Atomic structure:
Cell lengths 8.658, 8.658, 8.658 Å; angles 90.00, 90.00, 90.00 degrees
Space group F-43m (No. 216)
Asymmetric unit:
Pm 0.000 0.000 0.000 [4 per cell]
Nd 0.250 0.250 0.250 [4 per cell]
Mg 0.125 0.125 0.625 [16 per cell]

The 10 most intense peaks (10° ≤ 2θ ≤ 90°), low angle first:
2θ = 17.7°, rel. 60
2θ = 29.2°, rel. 98
2θ = 34.4°, rel. 100
2θ = 45.7°, rel. 16
2θ = 51.7°, rel. 40
2θ = 55.1°, rel. 34
2θ = 60.5°, rel. 22
2θ = 68.5°, rel. 17
2θ = 83.6°, rel. 20
2θ = 86.3°, rel. 21

---

Simulated powder diffraction line list
Compound: TlCuPtS2
Radiation: CuKα
Structure: a DFT-relaxed cell (PBE, Alexandria)
Lines closer than 0.1° are merged.

Atomic structure:
Cell lengths 3.658, 4.041, 6.932 Å; angles 90.00, 90.00, 90.00 degrees
Space group Pmmm (No. 47)
Asymmetric unit:
Tl 0.000 0.000 0.000 [1 per cell]
Cu 0.500 0.000 0.500 [1 per cell]
Pt 0.000 0.500 0.500 [1 per cell]
S 0.500 0.500 0.277 [2 per cell]

The 10 most intense peaks (10° ≤ 2θ ≤ 90°), low angle first:
2θ = 24.3°, rel. 20
2θ = 25.5°, rel. 64
2θ = 25.7°, rel. 44
2θ = 35.5°, rel. 100
2θ = 35.7°, rel. 36
2θ = 44.9°, rel. 18
2θ = 52.0°, rel. 41
2θ = 52.4°, rel. 13
2θ = 56.9°, rel. 25
2θ = 58.6°, rel. 17

---

Simulated powder diffraction line list
Compound: Cs2TlBiSb2
Radiation: CuKα
Structure: a DFT-relaxed cell (PBE, Alexandria)
Lines closer than 0.1° are merged.

Atomic structure:
Cell lengths 8.067, 16.888, 7.991 Å; angles 90.00, 90.00, 90.00 degrees
Space group Ibam (No. 72)
Asymmetric unit:
Cs 0.235 0.167 0.000 [8 per cell]
Tl 0.000 0.000 0.250 [4 per cell]
Bi 0.000 0.500 0.250 [4 per cell]
Sb 0.231 0.406 0.000 [8 per cell]

The 10 most intense peaks (10° ≤ 2θ ≤ 90°), low angle first:
2θ = 10.5°, rel. 100
2θ = 24.5°, rel. 45
2θ = 24.6°, rel. 44
2θ = 26.3°, rel. 61
2θ = 30.7°, rel. 63
2θ = 30.8°, rel. 63
2θ = 31.5°, rel. 97
2θ = 33.3°, rel. 28
2θ = 45.4°, rel. 36
2θ = 55.8°, rel. 23